Entry 1:
Diffraction record for PmBe3Au6. The X-ray diffraction stick pattern is computed, not measured: it uses a cell relaxed with PBE and Cu Kα, 1.54184 Å.
Intensities are scaled so that the largest is 100.

Largest 10 diffraction maxima, in order of falling intensity, 10 to 90 degrees two-theta:
2θ (°)	I (rel.)
36.73	100
43.27	65
44.13	64
29.02	62
34.68	61
31.38	39
30.22	38
26.43	34
67.46	34
41.48	32

Cell and atoms:
a = 6.979 Å, b = 6.979 Å, c = 6.979 Å
α = 48.22°, β = 48.22°, γ = 48.22°
Positions (direct):
Pm (0.000, 0.000, 0.000)
Be (0.310, 0.310, 0.310)
Be (0.645, 0.645, 0.645)
Be (0.841, 0.841, 0.841)
Au (0.078, 0.577, 0.573)
Au (0.294, 0.477, 0.886)
Au (0.477, 0.886, 0.294)
Au (0.573, 0.078, 0.577)
Au (0.577, 0.573, 0.078)
Au (0.886, 0.294, 0.477)

Entry 2:
Diffraction record for Pm2Be3Au9. The X-ray diffraction stick pattern is computed, not measured: it uses a cell relaxed with PBE and Cu Kα, 1.54184 Å.
Intensities are scaled so that the largest is 100.

Largest 10 diffraction maxima, in order of falling intensity, 10 to 90 degrees two-theta:
2θ (°)	I (rel.)
40.05	100
36.69	90
36.51	89
36.42	84
29.49	69
39.43	51
29.76	35
70.69	27
35.46	24
35.30	22

Cell and atoms:
a = 7.879 Å, b = 7.879 Å, c = 10.533 Å
α = 112.33°, β = 112.33°, γ = 59.02°
Positions (direct):
Pm (0.089, 0.254, 0.248)
Pm (0.254, 0.089, 0.748)
Pm (0.746, 0.911, 0.252)
Pm (0.911, 0.746, 0.752)
Be (0.000, 0.500, 0.000)
Be (0.141, 0.679, 0.503)
Be (0.321, 0.859, 0.997)
Be (0.500, 0.000, 0.500)
Be (0.679, 0.141, 0.003)
Be (0.859, 0.321, 0.497)
Au (0.010, 0.869, 0.075)
Au (0.131, 0.990, 0.425)
Au (0.193, 0.356, 0.566)
Au (0.197, 0.584, 0.261)
Au (0.305, 0.491, 0.948)
Au (0.344, 0.656, 0.750)
Au (0.356, 0.193, 0.066)
Au (0.416, 0.803, 0.239)
Au (0.491, 0.305, 0.448)
Au (0.509, 0.695, 0.552)
Au (0.584, 0.197, 0.761)
Au (0.644, 0.807, 0.934)
Au (0.656, 0.344, 0.250)
Au (0.695, 0.509, 0.052)
Au (0.803, 0.416, 0.739)
Au (0.807, 0.644, 0.434)
Au (0.869, 0.010, 0.575)
Au (0.990, 0.131, 0.925)

Entry 3:
Diffraction record for Pm2Be4Pt3Au. The X-ray diffraction stick pattern is computed, not measured: it uses a cell relaxed with PBE and Cu Kα, 1.54184 Å.
Intensities are scaled so that the largest is 100.

Largest 10 diffraction maxima, in order of falling intensity, 10 to 90 degrees two-theta:
2θ (°)	I (rel.)
32.00	100
36.05	76
35.71	62
43.75	59
28.61	38
28.19	32
57.70	31
53.08	29
52.86	23
63.59	20

Cell and atoms:
a = 4.139 Å, b = 4.139 Å, c = 9.496 Å
α = 90.00°, β = 90.00°, γ = 90.00°
Positions (direct):
Pm (0.000, 0.500, 0.245)
Pm (0.500, 0.000, 0.755)
Be (0.000, 0.000, 0.000)
Be (0.000, 0.500, 0.628)
Be (0.500, 0.000, 0.372)
Be (0.500, 0.500, 0.000)
Pt (0.000, 0.500, 0.881)
Pt (0.500, 0.000, 0.119)
Pt (0.500, 0.500, 0.500)
Au (0.000, 0.000, 0.500)